The following is a theoretical X-ray diffraction stick pattern of Sr3PrBi2As. It was derived from the PBE geometry in Alexandria, using Cu Kα X-rays.

Structure:
abc: 5.635 5.680 17.461
angles: 90.00 90.00 90.00
Space group Immm (No. 71)
Inequivalent atoms, fractional coordinates:
Sr 0.000 0.000 0.000
Sr 0.000 0.500 0.323
Pr 0.000 0.000 0.500
Bi 0.000 0.500 0.130
As 0.000 0.500 0.500

The 12 most intense peaks (2θ from 10° to 90°), sorted by position:
- 2θ 10.13, intensity 27, hkl 0 0 2
- 2θ 21.93, intensity 30, hkl 1 0 3
- 2θ 22.22, intensity 55, hkl 1 1 0
- 2θ 24.48, intensity 38, hkl 1 1 2
- 2θ 30.08, intensity 58, hkl 1 0 5
- 2θ 30.31, intensity 100, hkl 1 1 4
- 2θ 30.72, intensity 20, hkl 0 0 6
- 2θ 31.50, intensity 49, hkl 0 2 0
- 2θ 31.76, intensity 48, hkl 2 0 0
- 2θ 44.14, intensity 25, hkl 1 2 5
- 2θ 45.34, intensity 36, hkl 2 2 0
- 2θ 55.72, intensity 33, hkl 3 1 4

---

The following is a theoretical X-ray diffraction stick pattern of CeNi12B6. It was derived from the PBE geometry in Alexandria, using Cu Kα X-rays.

Structure:
abc: 9.589 7.378 11.012
angles: 90.00 90.00 90.00
Space group Cmc2_1 (No. 36)
Inequivalent atoms, fractional coordinates:
Ce 0.000 0.168 0.000
Ni 0.000 0.218 0.399
Ni 0.000 0.435 0.579
Ni 0.131 0.327 0.763
Ni 0.131 0.342 0.221
Ni 0.133 0.012 0.242
Ni 0.182 0.187 0.560
Ni 0.193 0.464 0.430
B 0.000 0.164 0.661
B 0.000 0.486 0.340
B 0.206 0.193 0.375
B 0.215 0.461 0.612

The 12 most intense peaks (2θ from 10° to 90°), sorted by position:
- 2θ 31.62, intensity 53, hkl 2 2 1
- 2θ 32.52, intensity 27, hkl 0 0 4
- 2θ 34.70, intensity 50, hkl 2 2 2
- 2θ 39.35, intensity 65, hkl 3 1 3
- 2θ 41.07, intensity 74, hkl 4 0 2
- 2θ 41.30, intensity 100, hkl 1 3 2
- 2θ 43.93, intensity 41, hkl 1 1 5
- 2θ 45.17, intensity 18, hkl 3 1 4
- 2θ 45.24, intensity 18, hkl 2 2 4
- 2θ 49.64, intensity 36, hkl 0 0 6
- 2θ 57.98, intensity 25, hkl 3 3 4
- 2θ 61.30, intensity 27, hkl 5 3 0

---

Please write out number 1 again, unchanged.
The following is a theoretical X-ray diffraction stick pattern of Sr3PrBi2As. It was derived from the PBE geometry in Alexandria, using Cu Kα X-rays.

Structure:
abc: 5.635 5.680 17.461
angles: 90.00 90.00 90.00
Space group Immm (No. 71)
Inequivalent atoms, fractional coordinates:
Sr 0.000 0.000 0.000
Sr 0.000 0.500 0.323
Pr 0.000 0.000 0.500
Bi 0.000 0.500 0.130
As 0.000 0.500 0.500

The 12 most intense peaks (2θ from 10° to 90°), sorted by position:
- 2θ 10.13, intensity 27, hkl 0 0 2
- 2θ 21.93, intensity 30, hkl 1 0 3
- 2θ 22.22, intensity 55, hkl 1 1 0
- 2θ 24.48, intensity 38, hkl 1 1 2
- 2θ 30.08, intensity 58, hkl 1 0 5
- 2θ 30.31, intensity 100, hkl 1 1 4
- 2θ 30.72, intensity 20, hkl 0 0 6
- 2θ 31.50, intensity 49, hkl 0 2 0
- 2θ 31.76, intensity 48, hkl 2 0 0
- 2θ 44.14, intensity 25, hkl 1 2 5
- 2θ 45.34, intensity 36, hkl 2 2 0
- 2θ 55.72, intensity 33, hkl 3 1 4